[1]
This entry pairs a crystal structure of Mg17Zn11Au with its simulated powder XRD pattern. Radiation: CuKα. Structure: a cell relaxed with PBE.
Lines closer than 0.1° are merged.

Main lines, in order of rising 2θ (2θ = 5–70°):
| 2theta | I (rel.) |
| --- | --- |
| 11.7 | 71 |
| 12.6 | 48 |
| 19.8 | 65 |
| 21.4 | 74 |
| 21.9 | 49 |
| 37.1 | 40 |
| 37.3 | 63 |
| 38.1 | 100 |
| 40.2 | 33 |
| 41.7 | 57 |
| 42.5 | 41 |
| 66.4 | 32 |

Structure:
```
Mg17Zn11Au
1.0
5.163 -7.016 0.000
5.163 7.016 0.000
-4.387 0.000 7.592
Mg Zn Au
17 11 1
direct
0.000 0.000 0.000 Mg
0.001 0.363 0.637 Mg
0.005 0.005 0.638 Mg
0.306 0.693 0.330 Mg
0.336 0.588 0.630 Mg
0.337 0.992 0.223 Mg
0.363 0.001 0.637 Mg
0.379 0.379 0.292 Mg
0.379 0.651 0.014 Mg
0.588 0.336 0.630 Mg
0.588 0.994 0.972 Mg
0.651 0.379 0.014 Mg
0.692 0.692 0.938 Mg
0.693 0.306 0.330 Mg
0.695 0.695 0.335 Mg
0.992 0.337 0.223 Mg
0.994 0.588 0.972 Mg
0.019 0.828 0.281 Zn
0.025 0.649 0.473 Zn
0.139 0.331 0.970 Zn
0.178 0.178 0.420 Zn
0.188 0.800 0.824 Zn
0.331 0.139 0.970 Zn
0.648 0.835 0.660 Zn
0.649 0.025 0.473 Zn
0.800 0.188 0.824 Zn
0.828 0.019 0.281 Zn
0.835 0.648 0.660 Zn
0.332 0.332 0.768 Au
```

---

[2]
This entry pairs a crystal structure of Na2SrAlF8 with its simulated powder XRD pattern. Radiation: CuKα. Structure: a cell relaxed with PBE.
Lines closer than 0.1° are merged.

Main lines, in order of rising 2θ (2θ = 5–70°):
| 2theta | I (rel.) |
| --- | --- |
| 17.6 | 41 |
| 18.7 | 17 |
| 25.8 | 100 |
| 28.8 | 15 |
| 31.1 | 57 |
| 36.5 | 28 |
| 38.0 | 25 |
| 42.1 | 17 |
| 46.9 | 20 |
| 48.5 | 73 |
| 49.8 | 26 |
| 64.7 | 18 |

Structure:
```
Na2SrAlF8
1.0
4.740 0.000 0.000
-0.001 5.031 0.000
-0.001 -0.007 7.023
Na Sr Al F
2 1 1 8
direct
0.000 0.000 0.220 Na
0.000 0.000 0.780 Na
0.500 0.500 0.500 Sr
0.500 0.500 0.000 Al
0.042 0.250 0.500 F
0.176 0.305 0.000 F
0.375 0.719 0.808 F
0.376 0.719 0.192 F
0.624 0.281 0.808 F
0.625 0.281 0.192 F
0.824 0.695 0.000 F
0.958 0.750 0.500 F
```

---

[3]
This entry pairs a crystal structure of LiCeCd3 with its simulated powder XRD pattern. Radiation: CuKα. Structure: a cell relaxed with PBE.
Lines closer than 0.1° are merged.

Main lines, in order of rising 2θ (2θ = 5–70°):
| 2theta | I (rel.) |
| --- | --- |
| 20.7 | 17 |
| 24.9 | 10 |
| 31.3 | 12 |
| 31.7 | 100 |
| 34.7 | 9 |
| 37.1 | 19 |
| 39.3 | 39 |
| 51.1 | 12 |
| 55.1 | 12 |
| 56.8 | 13 |
| 66.5 | 22 |
| 67.0 | 9 |

Structure:
```
LiCeCd3
1.0
6.486 0.000 0.000
0.000 6.486 0.000
0.000 0.000 5.716
Li Ce Cd
2 2 6
direct
0.250 0.250 0.245 Li
0.750 0.750 0.755 Li
0.250 0.750 0.500 Ce
0.750 0.250 0.500 Ce
0.000 0.000 0.000 Cd
0.000 0.500 0.000 Cd
0.250 0.250 0.687 Cd
0.500 0.000 0.000 Cd
0.500 0.500 0.000 Cd
0.750 0.750 0.313 Cd
```